1.
The following is a simulated powder diffraction line list of Nd2SiO5. It was derived from a DFT-relaxed cell (GGA-PBE, the Materials Project), using Cu Kα.
No peak broadening, texture or thermal motion is included.

Structure:
```
Nd2SiO5
1.0
9.331 0.000 0.000
0.000 7.391 0.000
-2.184 0.000 6.566
Nd Si O
8 4 20
Direct
0.021 0.124 0.234
0.021 0.376 0.734
0.389 0.154 0.092
0.389 0.346 0.592
0.611 0.654 0.408
0.611 0.846 0.908
0.979 0.624 0.266
0.979 0.876 0.766
0.299 0.581 0.043
0.299 0.919 0.543
0.701 0.081 0.457
0.701 0.419 0.957
0.116 0.123 0.952
0.116 0.377 0.452
0.118 0.635 0.993
0.118 0.865 0.493
0.294 0.072 0.365
0.294 0.428 0.865
0.367 0.039 0.753
0.367 0.461 0.253
0.409 0.747 0.557
0.409 0.753 0.057
0.591 0.247 0.943
0.591 0.253 0.443
0.633 0.539 0.747
0.633 0.961 0.247
0.706 0.572 0.135
0.706 0.928 0.635
0.882 0.135 0.507
0.882 0.365 0.007
0.884 0.623 0.548
0.884 0.877 0.048
```

Principal peaks in the range 15° ≤ 2θ ≤ 90°, by angle:
d = 5.674 Å, 2θ = 15.62°, intensity 46
d = 4.427 Å, 2θ = 20.06°, intensity 41
d = 3.221 Å, 2θ = 27.70°, intensity 100
d = 3.157 Å, 2θ = 28.27°, intensity 75
d = 2.952 Å, 2θ = 30.28°, intensity 51
d = 2.886 Å, 2θ = 30.98°, intensity 58
d = 2.820 Å, 2θ = 31.73°, intensity 70
d = 2.803 Å, 2θ = 31.92°, intensity 46
d = 2.025 Å, 2θ = 44.75°, intensity 49
d = 1.953 Å, 2θ = 46.50°, intensity 40

=====

2.
The following is a simulated powder diffraction line list of Ba2TbTaO6. It was derived from a DFT-relaxed cell (GGA-PBE, the Materials Project), using Cu Kα.
No peak broadening, texture or thermal motion is included.

Structure:
```
Ba2TbTaO6
1.0
0.000 4.280 4.280
4.280 0.000 4.280
4.280 4.280 0.000
Ba Tb Ta O
2 1 1 6
Direct
0.250 0.250 0.250
0.750 0.750 0.750
0.000 0.000 0.000
0.500 0.500 0.500
0.265 0.265 0.735
0.265 0.735 0.265
0.265 0.735 0.735
0.735 0.265 0.265
0.735 0.265 0.735
0.735 0.735 0.265
```

Principal peaks in the range 15° ≤ 2θ ≤ 90°, by angle:
d = 4.280 Å, 2θ = 20.75°, intensity 4
d = 3.026 Å, 2θ = 29.52°, intensity 100
d = 2.140 Å, 2θ = 42.23°, intensity 28
d = 1.914 Å, 2θ = 47.50°, intensity 2
d = 1.747 Å, 2θ = 52.36°, intensity 41
d = 1.513 Å, 2θ = 61.26°, intensity 18
d = 1.427 Å, 2θ = 65.42°, intensity 1
d = 1.353 Å, 2θ = 69.44°, intensity 18
d = 1.236 Å, 2θ = 77.21°, intensity 6
d = 1.144 Å, 2θ = 84.75°, intensity 22

=====

3.
The following is a simulated powder diffraction line list of MgGeRh2. It was derived from a DFT-relaxed cell (GGA-PBE, the Materials Project), using Cu Kα.
No peak broadening, texture or thermal motion is included.

Structure:
```
MgGeRh2
1.0
0.000 3.063 3.063
3.063 0.000 3.063
3.063 3.063 0.000
Mg Ge Rh
1 1 2
Direct
0.000 0.000 0.000
0.500 0.500 0.500
0.250 0.250 0.250
0.750 0.750 0.750
```

Principal peaks in the range 15° ≤ 2θ ≤ 90°, by angle:
d = 3.536 Å, 2θ = 25.18°, intensity 6
d = 3.063 Å, 2θ = 29.16°, intensity 17
d = 2.166 Å, 2θ = 41.71°, intensity 100
d = 1.847 Å, 2θ = 49.34°, intensity 3
d = 1.768 Å, 2θ = 51.70°, intensity 4
d = 1.531 Å, 2θ = 60.45°, intensity 16
d = 1.405 Å, 2θ = 66.54°, intensity 1
d = 1.370 Å, 2θ = 68.51°, intensity 6
d = 1.250 Å, 2θ = 76.13°, intensity 33
d = 1.179 Å, 2θ = 81.68°, intensity 1

=====

4.
The following is a simulated powder diffraction line list of Sr6Sn12Pt11. It was derived from a DFT-relaxed cell (GGA-PBE, the Materials Project), using Cu Kα.
No peak broadening, texture or thermal motion is included.

Structure:
```
Sr6Sn12Pt11
1.0
-3.337 10.498 10.033
3.337 -10.498 10.033
3.337 10.498 -10.033
Sr Sn Pt
12 24 22
Direct
0.042 0.428 0.140
0.122 0.233 0.355
0.212 0.072 0.614
0.288 0.902 0.860
0.378 0.733 0.111
0.458 0.598 0.386
0.542 0.402 0.614
0.622 0.267 0.889
0.712 0.098 0.140
0.788 0.928 0.386
0.878 0.767 0.645
0.958 0.572 0.860
0.001 0.750 0.251
0.055 0.713 0.769
0.118 0.959 0.729
0.167 0.406 0.739
0.167 0.906 0.238
0.231 0.390 0.271
0.269 0.541 0.159
0.333 0.071 0.238
0.333 0.571 0.739
0.382 0.110 0.841
0.445 0.213 0.658
0.499 0.750 0.749
0.501 0.250 0.251
0.555 0.787 0.342
0.618 0.890 0.159
0.667 0.429 0.261
0.667 0.929 0.762
0.731 0.459 0.841
0.769 0.610 0.729
0.833 0.094 0.762
0.833 0.594 0.261
0.882 0.041 0.271
0.945 0.287 0.231
0.999 0.250 0.749
0.017 0.076 0.427
0.077 0.077 0.000
0.101 0.601 0.500
0.149 0.576 0.059
0.184 0.737 0.921
0.250 0.750 0.500
0.316 0.237 0.553
0.351 0.410 0.427
0.399 0.899 0.500
0.423 0.423 0.000
0.483 0.910 0.059
0.517 0.090 0.941
0.577 0.577 0.000
0.601 0.101 0.500
0.649 0.590 0.573
0.684 0.763 0.447
0.750 0.250 0.500
0.816 0.263 0.079
0.851 0.424 0.941
0.899 0.399 0.500
0.923 0.923 0.000
0.983 0.924 0.573
```

Principal peaks in the range 15° ≤ 2θ ≤ 90°, by angle:
d = 5.249 Å, 2θ = 16.89°, intensity 19
d = 4.308 Å, 2θ = 20.62°, intensity 21
d = 2.816 Å, 2θ = 31.78°, intensity 100
d = 2.362 Å, 2θ = 38.09°, intensity 58
d = 2.064 Å, 2θ = 43.87°, intensity 44
d = 1.919 Å, 2θ = 47.38°, intensity 13
d = 1.809 Å, 2θ = 50.45°, intensity 21
d = 1.489 Å, 2θ = 62.35°, intensity 11
d = 1.436 Å, 2θ = 64.93°, intensity 12
d = 1.147 Å, 2θ = 84.45°, intensity 11

=====

5.
The following is a simulated powder diffraction line list of Ta4FeS8. It was derived from a DFT-relaxed cell (GGA-PBE, the Materials Project), using Cu Kα.
No peak broadening, texture or thermal motion is included.

Structure:
```
Ta4FeS8
1.0
6.629 0.000 0.000
-3.314 5.741 0.000
0.000 0.000 11.750
Ta Fe S
8 2 16
Direct
0.000 0.000 0.250
0.000 0.000 0.750
0.012 0.506 0.250
0.494 0.506 0.250
0.494 0.988 0.250
0.506 0.012 0.750
0.506 0.494 0.750
0.988 0.494 0.750
0.000 0.000 0.000
0.000 0.000 0.500
0.165 0.330 0.616
0.165 0.330 0.884
0.165 0.835 0.616
0.165 0.835 0.884
0.330 0.165 0.116
0.330 0.165 0.384
0.333 0.667 0.113
0.333 0.667 0.387
0.667 0.333 0.613
0.667 0.333 0.887
0.670 0.835 0.616
0.670 0.835 0.884
0.835 0.165 0.116
0.835 0.165 0.384
0.835 0.670 0.116
0.835 0.670 0.384
```

Principal peaks in the range 15° ≤ 2θ ≤ 90°, by angle:
d = 5.875 Å, 2θ = 15.08°, intensity 100
d = 2.870 Å, 2θ = 31.16°, intensity 57
d = 2.579 Å, 2θ = 34.79°, intensity 94
d = 2.053 Å, 2θ = 44.11°, intensity 87
d = 1.657 Å, 2θ = 55.45°, intensity 28
d = 1.618 Å, 2θ = 56.92°, intensity 19
d = 1.595 Å, 2θ = 57.81°, intensity 19
d = 1.394 Å, 2θ = 67.14°, intensity 14
d = 1.289 Å, 2θ = 73.43°, intensity 19
d = 1.099 Å, 2θ = 89.08°, intensity 15

=====

6.
The following is a simulated powder diffraction line list of Sr4CoN4. It was derived from a DFT-relaxed cell (GGA-PBE, the Materials Project), using Cu Kα.
No peak broadening, texture or thermal motion is included.

Structure:
```
Sr4CoN4
1.0
6.449 0.000 0.000
2.778 5.982 0.000
1.132 2.088 8.290
Sr Co N
8 2 8
Direct
0.164 0.409 0.359
0.235 0.937 0.126
0.268 0.488 0.935
0.296 0.784 0.541
0.704 0.216 0.459
0.732 0.512 0.065
0.765 0.063 0.874
0.836 0.591 0.641
0.241 0.137 0.751
0.759 0.863 0.249
0.030 0.276 0.900
0.031 0.157 0.617
0.344 0.359 0.656
0.456 0.843 0.828
0.544 0.157 0.172
0.656 0.641 0.344
0.969 0.843 0.383
0.970 0.724 0.100
```

Principal peaks in the range 15° ≤ 2θ ≤ 90°, by angle:
d = 3.040 Å, 2θ = 29.38°, intensity 23
d = 2.974 Å, 2θ = 30.05°, intensity 62
d = 2.947 Å, 2θ = 30.32°, intensity 61
d = 2.924 Å, 2θ = 30.57°, intensity 69
d = 2.772 Å, 2θ = 32.30°, intensity 43
d = 2.739 Å, 2θ = 32.70°, intensity 100
d = 2.501 Å, 2θ = 35.90°, intensity 50
d = 2.322 Å, 2θ = 38.78°, intensity 25
d = 2.264 Å, 2θ = 39.81°, intensity 24
d = 1.922 Å, 2θ = 47.30°, intensity 25